This entry pairs a crystal structure of AcV2AuO7 with its simulated PXRD pattern. Radiation: λ = 1.5418 Å (Cu Kα). Structure: DFT lattice parameters and positions (PBE+U).
Kinematic intensities with the Lorentz-polarization factor, no thermal factor.

Crystal structure
a = 3.763 Å, b = 3.763 Å, c = 21.447 Å
α = 90.00°, β = 90.00°, γ = 90.00°
Space group I-4m2 (No. 119)
Inequivalent atoms, fractional coordinates:
Ac 0.000 0.000 0.000 [2 per cell]
V 0.000 0.000 0.393 [4 per cell]
Au 0.000 0.500 0.250 [2 per cell]
O 0.000 0.000 0.313 [4 per cell]
O 0.000 0.000 0.500 [2 per cell]
O 0.000 0.500 0.094 [4 per cell]
O 0.000 0.500 0.590 [4 per cell]

Top 6 peaks for 2θ = 10–80°, sorted by position:
(0 0 4), d = 5.362 Å, rel. 53.9
(1 0 1), d = 3.706 Å, rel. 55.9
(1 0 3), d = 3.330 Å, rel. 100.0
(1 0 5), d = 2.829 Å, rel. 61.9
(1 1 2), d = 2.582 Å, rel. 72.3
(1 1 6), d = 2.134 Å, rel. 52.6